Starting from a cell relaxed with GGA-PBE, the XRD peak list of Y2TlGa2Rh5 was calculated for Cu Kα, 1.54184 Å.
No peak broadening, texture or thermal motion is included.

Principal peaks in the range 2θ from 10° to 80°, sorted by position:
| Position (°2θ) | d (Å) | I_rel |
| --- | --- | --- |
| 17.98 | 4.933 | 11 |
| 35.68 | 2.516 | 29 |
| 37.59 | 2.393 | 30 |
| 38.02 | 2.367 | 100 |
| 40.90 | 2.206 | 24 |
| 41.31 | 2.186 | 29 |
| 50.23 | 1.816 | 19 |
| 64.40 | 1.447 | 12 |
| 66.70 | 1.402 | 11 |
| 72.58 | 1.303 | 13 |

Structure:
```
Y2TlGa2Rh5
1.0
9.867 0.000 0.000
0.000 9.867 0.000
0.000 0.000 3.632
Y Tl Ga Rh
4 2 4 10
Direct
0.175 0.325 0.000
0.325 0.825 0.000
0.675 0.175 0.000
0.825 0.675 0.000
0.000 0.000 0.000
0.500 0.500 0.000
0.123 0.623 0.000
0.377 0.123 0.000
0.623 0.877 0.000
0.877 0.377 0.000
0.000 0.500 0.500
0.069 0.789 0.500
0.211 0.069 0.500
0.289 0.569 0.500
0.431 0.289 0.500
0.500 0.000 0.500
0.569 0.711 0.500
0.711 0.431 0.500
0.789 0.931 0.500
0.931 0.211 0.500
```

***

Starting from a cell relaxed with GGA-PBE, the XRD peak list of TmGa3Rh4 was calculated for Cu Kα, 1.54184 Å.
No peak broadening, texture or thermal motion is included.

Principal peaks in the range 2θ from 10° to 80°, sorted by position:
| Position (°2θ) | d (Å) | I_rel |
| --- | --- | --- |
| 23.68 | 3.758 | 4 |
| 24.73 | 3.600 | 7 |
| 31.23 | 2.864 | 7 |
| 37.40 | 2.404 | 7 |
| 40.85 | 2.209 | 94 |
| 40.97 | 2.203 | 100 |
| 59.24 | 1.560 | 31 |
| 74.31 | 1.276 | 13 |
| 74.57 | 1.273 | 47 |
| 79.30 | 1.208 | 4 |

Structure:
```
TmGa3Rh4
1.0
2.203 1.272 7.224
-2.203 1.272 7.224
0.000 -2.544 7.224
Tm Ga Rh
1 3 4
Direct
0.000 0.000 0.000
0.250 0.250 0.250
0.500 0.500 0.500
0.750 0.750 0.750
0.130 0.130 0.130
0.384 0.384 0.384
0.616 0.616 0.616
0.870 0.870 0.870
```

***

Starting from a cell relaxed with GGA-PBE, the XRD peak list of Tm2Ga8Rh was calculated for Cu Kα, 1.54184 Å.
No peak broadening, texture or thermal motion is included.

Principal peaks in the range 2θ from 10° to 80°, sorted by position:
| Position (°2θ) | d (Å) | I_rel |
| --- | --- | --- |
| 20.74 | 4.283 | 27 |
| 32.02 | 2.795 | 16 |
| 33.74 | 2.657 | 30 |
| 38.46 | 2.341 | 100 |
| 40.77 | 2.213 | 14 |
| 42.20 | 2.142 | 52 |
| 60.12 | 1.539 | 18 |
| 61.21 | 1.514 | 17 |
| 74.65 | 1.271 | 30 |
| 75.56 | 1.258 | 11 |

Structure:
```
Tm2Ga8Rh
1.0
4.283 0.000 0.000
0.000 4.283 0.000
0.000 0.000 11.067
Tm Ga Rh
2 8 1
Direct
0.000 0.000 0.190
0.000 0.000 0.810
0.000 0.500 0.000
0.000 0.500 0.377
0.000 0.500 0.623
0.500 0.000 0.000
0.500 0.000 0.377
0.500 0.000 0.623
0.500 0.500 0.193
0.500 0.500 0.807
0.000 0.000 0.500
```

***

Starting from a cell relaxed with GGA-PBE, the XRD peak list of Tm3Ga8Rh4 was calculated for Cu Kα, 1.54184 Å.
No peak broadening, texture or thermal motion is included.

Principal peaks in the range 2θ from 10° to 80°, sorted by position:
| Position (°2θ) | d (Å) | I_rel |
| --- | --- | --- |
| 28.12 | 3.174 | 14 |
| 31.52 | 2.839 | 11 |
| 34.62 | 2.591 | 11 |
| 36.79 | 2.443 | 36 |
| 40.18 | 2.244 | 100 |
| 42.74 | 2.116 | 9 |
| 55.61 | 1.653 | 10 |
| 58.13 | 1.587 | 10 |
| 73.03 | 1.296 | 18 |
| 77.83 | 1.227 | 11 |

Structure:
```
Tm3Ga8Rh4
1.0
0.000 6.347 6.347
6.347 0.000 6.347
6.347 6.347 0.000
Tm Ga Rh
6 16 8
Direct
0.216 0.216 0.784
0.216 0.784 0.216
0.216 0.784 0.784
0.784 0.216 0.216
0.784 0.216 0.784
0.784 0.784 0.216
0.129 0.624 0.624
0.161 0.161 0.161
0.161 0.161 0.516
0.161 0.516 0.161
0.376 0.376 0.376
0.376 0.376 0.871
0.376 0.871 0.376
0.484 0.839 0.839
0.516 0.161 0.161
0.624 0.129 0.624
0.624 0.624 0.129
0.624 0.624 0.624
0.839 0.484 0.839
0.839 0.839 0.484
0.839 0.839 0.839
0.871 0.376 0.376
0.000 0.000 0.000
0.000 0.000 0.500
0.000 0.500 0.000
0.000 0.500 0.500
0.500 0.000 0.000
0.500 0.000 0.500
0.500 0.500 0.000
0.500 0.500 0.500
```

***

Starting from a cell relaxed with GGA-PBE, the XRD peak list of Tm2Ga5Rh4 was calculated for Cu Kα, 1.54184 Å.
No peak broadening, texture or thermal motion is included.

Principal peaks in the range 2θ from 10° to 80°, sorted by position:
| Position (°2θ) | d (Å) | I_rel |
| --- | --- | --- |
| 25.66 | 3.471 | 27 |
| 33.60 | 2.667 | 45 |
| 33.96 | 2.640 | 29 |
| 37.35 | 2.408 | 100 |
| 39.08 | 2.305 | 37 |
| 41.10 | 2.196 | 62 |
| 52.76 | 1.735 | 32 |
| 62.99 | 1.476 | 22 |
| 63.56 | 1.464 | 21 |
| 69.47 | 1.353 | 22 |

Structure:
```
Tm2Ga5Rh4
1.0
0.000 4.726 7.911
2.641 0.000 7.911
2.641 4.726 0.000
Tm Ga Rh
2 5 4
Direct
0.154 0.154 0.846
0.846 0.846 0.154
0.000 0.000 0.500
0.250 0.250 0.250
0.500 0.500 0.000
0.500 0.500 0.500
0.750 0.750 0.750
0.216 0.530 0.470
0.470 0.784 0.216
0.530 0.216 0.784
0.784 0.470 0.530
```

***

Starting from a cell relaxed with GGA-PBE, the XRD peak list of Tm2ZrGa2Rh5 was calculated for Cu Kα, 1.54184 Å.
No peak broadening, texture or thermal motion is included.

Principal peaks in the range 2θ from 10° to 80°, sorted by position:
| Position (°2θ) | d (Å) | I_rel |
| --- | --- | --- |
| 32.32 | 2.770 | 32 |
| 36.05 | 2.491 | 21 |
| 37.55 | 2.396 | 53 |
| 38.36 | 2.346 | 100 |
| 38.68 | 2.328 | 20 |
| 40.86 | 2.209 | 18 |
| 41.62 | 2.170 | 31 |
| 44.68 | 2.028 | 13 |
| 51.40 | 1.778 | 21 |
| 65.37 | 1.428 | 21 |

Structure:
```
Tm2ZrGa2Rh5
1.0
9.877 0.000 0.000
0.000 9.877 0.000
0.000 0.000 3.555
Tm Zr Ga Rh
4 2 4 10
Direct
0.172 0.328 0.000
0.328 0.828 0.000
0.672 0.172 0.000
0.828 0.672 0.000
0.000 0.000 0.000
0.500 0.500 0.000
0.125 0.625 0.000
0.375 0.125 0.000
0.625 0.875 0.000
0.875 0.375 0.000
0.000 0.500 0.500
0.069 0.794 0.500
0.206 0.069 0.500
0.294 0.569 0.500
0.431 0.294 0.500
0.500 0.000 0.500
0.569 0.706 0.500
0.706 0.431 0.500
0.794 0.931 0.500
0.931 0.206 0.500
```